Y2AlGa3Cu12: simulated powder diffractogram (Cu Ka), based on a cell relaxed with GGA-PBE.
Neutral-atom scattering factors, no anomalous dispersion.

Crystal structure
a = 6.542 Å, b = 6.542 Å, c = 6.542 Å
α = 84.37°, β = 84.37°, γ = 84.37°
Element x y z (fractional)
Y 0.198 0.198 0.198
Y 0.802 0.802 0.802
Al 0.500 0.500 0.500
Ga 0.000 0.500 0.500
Ga 0.500 0.000 0.500
Ga 0.500 0.500 0.000
Cu 0.088 0.088 0.629
Cu 0.088 0.629 0.088
Cu 0.224 0.697 0.697
Cu 0.303 0.303 0.776
Cu 0.303 0.776 0.303
Cu 0.371 0.912 0.912
Cu 0.629 0.088 0.088
Cu 0.697 0.224 0.697
Cu 0.697 0.697 0.224
Cu 0.776 0.303 0.303
Cu 0.912 0.371 0.912
Cu 0.912 0.912 0.371

Top 10 peaks for 10° ≤ 2θ ≤ 90°, by angle:
d = 3.009 Å, I 13
d = 2.609 Å, I 13
d = 2.196 Å, I 100
d = 2.161 Å, I 10
d = 2.077 Å, I 80
d = 1.509 Å, I 25
d = 1.268 Å, I 13
d = 1.244 Å, I 23
d = 1.178 Å, I 12
d = 1.098 Å, I 7